For LiCo2O6, DFT lattice parameters and positions (GGA+U) gives the theoretical powder X-ray diffraction pattern in this record (Cu Ka).

Principal peaks in the range 10 to 80 degrees two-theta, most intense first:
2θ = 19.3°, d 4.588, rel. 1000
2θ = 45.6°, d 1.988, rel. 455
2θ = 22.3°, d 3.993, rel. 358
2θ = 26.0°, d 3.423, rel. 275
2θ = 21.6°, d 4.117, rel. 224
2θ = 38.3°, d 2.352, rel. 208
2θ = 48.4°, d 1.882, rel. 203
2θ = 29.1°, d 3.064, rel. 149
2θ = 39.2°, d 2.296, rel. 146
2θ = 60.0°, d 1.542, rel. 129

Structure:
Cell lengths 4.747, 4.747, 4.752 Å; angles 97.46, 97.46, 120.26 degrees
Positions (direct):
Li 0.000 0.000 0.000
Co 0.447 0.553 0.500
Co 0.779 0.221 0.500
O 0.057 0.447 0.271
O 0.173 0.307 0.718
O 0.421 0.186 0.283
O 0.553 0.943 0.729
O 0.693 0.827 0.282
O 0.814 0.579 0.717